For KSc4Ge3O12, a cell relaxed with GGA-PBE gives the calculated X-ray diffraction stick pattern in this record (Cu Ka).
Intensities are scaled so that the largest is 100.

Principal peaks in the range 5 to 70 degrees two-theta, in order of rising 2θ:
Position (°2θ), I (rel.)
16.06, 8
28.00, 5
32.45, 100
36.40, 9
40.02, 5
46.55, 24
57.88, 54
67.94, 12

Atomic structure:
abc: 6.759 6.759 6.759
angles: 109.47 109.47 109.47
Positions (direct):
K 0.000 0.000 0.000
Sc 0.000 0.000 0.500
Sc 0.000 0.500 0.000
Sc 0.500 0.000 0.000
Sc 0.500 0.500 0.500
Ge 0.000 0.500 0.500
Ge 0.500 0.000 0.500
Ge 0.500 0.500 0.000
O 0.157 0.830 0.327
O 0.170 0.327 0.496
O 0.170 0.673 0.843
O 0.327 0.157 0.830
O 0.327 0.496 0.170
O 0.496 0.170 0.327
O 0.504 0.830 0.673
O 0.673 0.504 0.830
O 0.673 0.843 0.170
O 0.830 0.327 0.157
O 0.830 0.673 0.504
O 0.843 0.170 0.673